Theoretical XRD peak list of Na5SrNbP4 for CuKα, from a cell relaxed with GGA-PBE.
Lines closer than 0.1° are merged.

Crystal structure
Cell lengths 9.345, 16.206, 7.364 Å; angles 90.00, 90.06, 90.00 degrees
Space group Cc (No. 9)
Unique sites:
1 Na 0.000 0.031 0.000 (multiplicity 4)
2 Na 0.007 0.357 0.671 (multiplicity 4)
3 Na 0.223 0.431 0.177 (multiplicity 4)
4 Na 0.285 0.071 0.667 (multiplicity 4)
5 Na 0.299 0.267 0.500 (multiplicity 4)
6 Sr 0.206 0.235 0.996 (multiplicity 4)
7 Nb 0.005 0.165 0.388 (multiplicity 4)
8 P 0.001 0.168 0.715 (multiplicity 4)
9 P 0.002 0.307 0.283 (multiplicity 4)
10 P 0.216 0.096 0.280 (multiplicity 4)
11 P 0.290 0.403 0.788 (multiplicity 4)

Top 10 peaks for 2θ from 5° to 70°, by angle:
10.92°, d 8.100, I = 100; 16.27°, d 5.447, I = 71; 26.59°, d 3.352, I = 22; 30.91°, d 2.893, I = 18; 31.66°, d 2.826, I = 86; 32.88°, d 2.724, I = 57; 35.41°, d 2.535, I = 22; 38.27°, d 2.352, I = 25; 38.51°, d 2.338, I = 58; 43.09°, d 2.099, I = 17